Starting from a cell relaxed with GGA-PBE, the PXRD pattern of Y6Fe23 was computed for Cu Kα, 1.54184 Å.

Atomic structure:
```
data_Y6Fe23
_chemical_formula_sum 'Y24 Fe92'
_space_group_name_H-M_alt 'F m -3 m'
_space_group_IT_number 225
_space_group_name_Hall '-F 4 2 3'
_cell_length_a 12.044
_cell_length_b 12.044
_cell_length_c 12.044
_cell_angle_alpha 90.00
_cell_angle_beta 90.00
_cell_angle_gamma 90.00
loop_
_atom_site_label
_atom_site_type_symbol
_atom_site_fract_x
_atom_site_fract_y
_atom_site_fract_z
_atom_site_occupancy
Y1 Y 0.000 0.000 0.209 1
Fe1 Fe 0.000 0.000 0.500 1
Fe2 Fe 0.000 0.250 0.250 1
Fe3 Fe 0.122 0.122 0.378 1
Fe4 Fe 0.176 0.176 0.176 1
```

Most intense lines, 15 to 90 degrees two-theta, in order of rising 2θ:
- 32.40°, d = 2.763 Å, I = 11.5
- 36.55°, d = 2.458 Å, I = 20.3
- 38.85°, d = 2.318 Å, I = 63.1
- 42.46°, d = 2.129 Å, I = 100.0
- 44.50°, d = 2.036 Å, I = 17.6
- 45.17°, d = 2.007 Å, I = 11.9
- 63.19°, d = 1.471 Å, I = 11.2
- 65.79°, d = 1.419 Å, I = 15.3
- 77.68°, d = 1.229 Å, I = 15.7
- 79.12°, d = 1.210 Å, I = 13.4

---

Starting from a cell relaxed with GGA-PBE, the PXRD pattern of Zn9Fe4 was computed for Cu Kα, 1.54184 Å.

Atomic structure:
```
data_Zn9Fe4
_chemical_formula_sum 'Zn36 Fe16'
_space_group_name_H-M_alt 'I -4 3 m'
_space_group_IT_number 217
_space_group_name_Hall 'I -4 2 3'
_cell_length_a 8.976
_cell_length_b 8.976
_cell_length_c 8.976
_cell_angle_alpha 90.00
_cell_angle_beta 90.00
_cell_angle_gamma 90.00
loop_
_atom_site_label
_atom_site_type_symbol
_atom_site_fract_x
_atom_site_fract_y
_atom_site_fract_z
_atom_site_occupancy
Zn1 Zn 0.000 0.000 0.356 1
Zn2 Zn 0.054 0.302 0.698 1
Fe1 Fe 0.103 0.103 0.897 1
Fe2 Fe 0.158 0.158 0.158 1
```

Most intense lines, 15 to 90 degrees two-theta, in order of rising 2θ:
- 34.62°, d = 2.591 Å, I = 7.3
- 37.49°, d = 2.399 Å, I = 8.5
- 42.74°, d = 2.116 Å, I = 100.0
- 47.51°, d = 1.914 Å, I = 10.3
- 49.77°, d = 1.832 Å, I = 5.2
- 71.26°, d = 1.323 Å, I = 5.5
- 73.03°, d = 1.296 Å, I = 5.8
- 74.79°, d = 1.269 Å, I = 6.1
- 78.27°, d = 1.221 Å, I = 15.3
- 88.50°, d = 1.105 Å, I = 6.2

---

Starting from a cell relaxed with GGA-PBE, the PXRD pattern of Zn9Fe4 was computed for Cu Kα, 1.54184 Å.

Atomic structure:
```
data_Zn9Fe4
_chemical_formula_sum 'Zn36 Fe16'
_space_group_name_H-M_alt 'C 1 m 1'
_space_group_IT_number 8
_space_group_name_Hall 'C -2y'
_cell_length_a 8.895
_cell_length_b 12.727
_cell_length_c 7.769
_cell_angle_alpha 90.00
_cell_angle_beta 124.80
_cell_angle_gamma 90.00
loop_
_atom_site_label
_atom_site_type_symbol
_atom_site_fract_x
_atom_site_fract_y
_atom_site_fract_z
_atom_site_occupancy
Zn1 Zn 0.000 0.000 0.000 1
Zn2 Zn 0.029 0.331 0.365 1
Zn3 Zn 0.122 0.500 0.256 1
Zn4 Zn 0.165 0.181 0.271 1
Zn5 Zn 0.178 0.169 0.634 1
Zn6 Zn 0.188 0.500 0.975 1
Zn7 Zn 0.216 0.140 0.983 1
Zn8 Zn 0.291 0.327 0.910 1
Zn9 Zn 0.346 0.000 0.297 1
Zn10 Zn 0.360 0.364 0.293 1
Zn11 Zn 0.390 0.314 0.652 1
Fe1 Fe 0.019 0.328 0.977 1
Fe2 Fe 0.147 0.000 0.435 1
Fe3 Fe 0.197 0.500 0.633 1
Fe4 Fe 0.346 0.000 0.851 1
Fe5 Fe 0.453 0.104 0.639 1
Fe6 Fe 0.496 0.500 0.630 1
```

Most intense lines, 15 to 90 degrees two-theta, in order of rising 2θ:
- 34.63°, d = 2.590 Å, I = 11.7
- 42.54°, d = 2.125 Å, I = 51.6
- 42.62°, d = 2.121 Å, I = 50.2
- 42.86°, d = 2.110 Å, I = 100.0
- 43.08°, d = 2.100 Å, I = 24.2
- 61.78°, d = 1.502 Å, I = 9.1
- 73.13°, d = 1.294 Å, I = 7.0
- 77.99°, d = 1.225 Å, I = 10.0
- 78.10°, d = 1.224 Å, I = 6.2
- 78.19°, d = 1.222 Å, I = 7.5